Entry 1:
Computed powder diffractogram of Na3FeH7 for Cu Kα (weighted mean of Kα1 and Kα2), from a PBE-relaxed structure.
Neutral-atom scattering factors, no anomalous dispersion.

Crystal structure
```
data_Na3FeH7
_space_group_name_H-M_alt 'P 42/m n m'
_space_group_IT_number 136
_space_group_name_Hall '-P 4n 2n'
_cell_length_a 9.088
_cell_length_b 9.088
_cell_length_c 4.976
_cell_angle_alpha 90.00
_cell_angle_beta 90.00
_cell_angle_gamma 90.00
loop_
_atom_site_label
_atom_site_type_symbol
_atom_site_fract_x
_atom_site_fract_y
_atom_site_fract_z
Na1 Na 0.033 0.303 0.000
Na2 Na 0.116 0.884 0.500
Fe1 Fe 0.201 0.201 0.500
H1 H 0.069 0.320 0.500
H2 H 0.108 0.108 0.303
H3 H 0.179 0.821 0.000
H4 H 0.241 0.241 0.214
```

Principal peaks in the range 10 to 90 degrees two-theta, in order of falling intensity:
d 2.588, 2θ 34.67, intensity 100, (3 0 1); d 2.488, 2θ 36.09, intensity 98, (0 0 2); d 4.544, 2θ 19.54, intensity 49, (2 0 0); d 3.935, 2θ 22.60, intensity 42, (1 1 1); d 2.521, 2θ 35.62, intensity 27, (3 2 0); d 4.064, 2θ 21.87, intensity 21, (2 1 0)


Entry 2:
Computed powder diffractogram of ErTcNO for Cu Kα (weighted mean of Kα1 and Kα2), from a PBE-relaxed structure.
Neutral-atom scattering factors, no anomalous dispersion.

Crystal structure
```
data_ErTcNO
_space_group_name_H-M_alt 'P c a 21'
_space_group_IT_number 29
_space_group_name_Hall 'P 2c -2ac'
_cell_length_a 5.445
_cell_length_b 7.755
_cell_length_c 5.132
_cell_angle_alpha 90.00
_cell_angle_beta 90.00
_cell_angle_gamma 90.00
loop_
_atom_site_label
_atom_site_type_symbol
_atom_site_fract_x
_atom_site_fract_y
_atom_site_fract_z
Er1 Er 0.018 0.143 0.000
Tc1 Tc 0.125 0.484 0.697
N1 N 0.095 0.347 0.371
O1 O 0.249 0.983 0.245
```

Principal peaks in the range 10 to 90 degrees two-theta, in order of falling intensity:
d 2.690, 2θ 33.31, intensity 100, (1 2 1); d 3.365, 2θ 26.49, intensity 87, (1 1 1); d 2.436, 2θ 36.90, intensity 39, (0 1 2); d 2.585, 2θ 34.70, intensity 35, (0 3 0); d 2.297, 2θ 39.22, intensity 26, (2 1 1); d 2.722, 2θ 32.90, intensity 19, (2 0 0)